Computed X-ray diffraction stick pattern
Compound: Ho2ErSn4Au4
Radiation: Cu Kα, 1.54184 Å
Structure: the GGA-PBE geometry in OQMD
Intensities are scaled so that the largest is 100.

Peak list (8 most intense, 2θ from 5° to 70°, by intensity)
| 2θ (°) | d_spacing | I/Imax | h k l |
| --- | --- | --- | --- |
| 32.1 | 2.786 | 100 | 1 2 1 |
| 32.8 | 2.728 | 65 | 1 1 4 |
| 39.6 | 2.277 | 48 | 2 0 0 |
| 36.2 | 2.482 | 40 | 1 2 3 |
| 34.8 | 2.576 | 31 | 0 0 6 |
| 41.3 | 2.184 | 31 | 0 3 3 |
| 43.3 | 2.088 | 29 | 1 2 5 |
| 53.7 | 1.705 | 24 | 2 0 6 |

Structure:
a b c (Å): 4.553 7.234 15.455
angles (deg): 90.00 90.00 90.00
Space group Immm (No. 71)
Symmetry-distinct sites (fractional):
Ho 0.000 0.000 0.129 (multiplicity 4)
Er 0.000 0.500 0.000 (multiplicity 2)
Sn 0.000 0.301 0.500 (multiplicity 4)
Sn 0.000 0.500 0.212 (multiplicity 4)
Au 0.000 0.206 0.330 (multiplicity 8)